Diffraction record for SrLa6Nd8. The X-ray diffraction stick pattern is calculated, not measured: it uses a cell relaxed with GGA-PBE and Cu Kα X-rays.
No peak broadening, texture or thermal motion is included.

Atomic structure:
Cell lengths 8.564, 8.564, 8.564 Å; angles 72.17, 72.17, 72.17 degrees
Fractional positions:
1 Sr 0.000 0.000 0.000
2 La 0.167 0.621 0.427
3 La 0.379 0.573 0.833
4 La 0.427 0.167 0.621
5 La 0.573 0.833 0.379
6 La 0.621 0.427 0.167
7 La 0.833 0.379 0.573
8 Nd 0.056 0.388 0.857
9 Nd 0.143 0.944 0.612
10 Nd 0.228 0.228 0.228
11 Nd 0.388 0.857 0.056
12 Nd 0.612 0.143 0.944
13 Nd 0.772 0.772 0.772
14 Nd 0.857 0.056 0.388
15 Nd 0.944 0.612 0.143

Top 10 peaks for 10 to 90 degrees two-theta, low angle first:
- 2θ = 28.4°, intensity 29
- 2θ = 28.6°, intensity 100
- 2θ = 30.7°, intensity 17
- 2θ = 33.1°, intensity 70
- 2θ = 33.6°, intensity 19
- 2θ = 47.4°, intensity 18
- 2θ = 47.7°, intensity 18
- 2θ = 56.5°, intensity 11
- 2θ = 56.6°, intensity 14
- 2θ = 59.3°, intensity 10



Diffraction record for La4Tb4Nd. The X-ray diffraction stick pattern is calculated, not measured: it uses a cell relaxed with GGA-PBE and Cu Kα X-rays.
No peak broadening, texture or thermal motion is included.

Atomic structure:
Cell lengths 6.311, 9.686, 10.974 Å; angles 100.88, 106.47, 96.20 degrees
Fractional positions:
1 La 0.249 0.249 0.083
2 La 0.250 0.248 0.751
3 La 0.250 0.915 0.528
4 La 0.251 0.584 0.640
5 La 0.749 0.416 0.360
6 La 0.750 0.085 0.472
7 La 0.750 0.752 0.249
8 La 0.751 0.751 0.917
9 Tb 0.246 0.247 0.415
10 Tb 0.249 0.919 0.192
11 Tb 0.251 0.584 0.974
12 Tb 0.251 0.917 0.863
13 Tb 0.749 0.083 0.137
14 Tb 0.749 0.416 0.026
15 Tb 0.751 0.081 0.808
16 Tb 0.754 0.753 0.585
17 Nd 0.248 0.583 0.303
18 Nd 0.752 0.417 0.697

Top 10 peaks for 10 to 90 degrees two-theta, low angle first:
- 2θ = 29.9°, intensity 100
- 2θ = 30.0°, intensity 99
- 2θ = 34.6°, intensity 68
- 2θ = 34.8°, intensity 33
- 2θ = 49.8°, intensity 36
- 2θ = 50.0°, intensity 24
- 2θ = 59.1°, intensity 14
- 2θ = 59.2°, intensity 14
- 2θ = 59.2°, intensity 36
- 2θ = 62.2°, intensity 19



Diffraction record for La5Tb2Nd2. The X-ray diffraction stick pattern is calculated, not measured: it uses a cell relaxed with GGA-PBE and Cu Kα X-rays.
No peak broadening, texture or thermal motion is included.

Atomic structure:
Cell lengths 17.189, 17.189, 17.189 Å; angles 165.48, 165.48, 20.59 degrees
Fractional positions:
1 La 0.000 0.000 0.000
2 La 0.219 0.219 0.000
3 La 0.446 0.446 0.000
4 La 0.554 0.554 0.000
5 La 0.781 0.781 0.000
6 Tb 0.334 0.334 0.000
7 Tb 0.666 0.666 0.000
8 Nd 0.113 0.113 0.000
9 Nd 0.887 0.887 0.000

Top 10 peaks for 10 to 90 degrees two-theta, low angle first:
- 2θ = 29.1°, intensity 62
- 2θ = 31.5°, intensity 100
- 2θ = 41.6°, intensity 24
- 2θ = 53.1°, intensity 46
- 2θ = 57.5°, intensity 17
- 2θ = 65.7°, intensity 12
- 2θ = 68.3°, intensity 11
- 2θ = 69.6°, intensity 10
- 2θ = 84.4°, intensity 12
- 2θ = 88.1°, intensity 11



Diffraction record for La15TbNd4. The X-ray diffraction stick pattern is calculated, not measured: it uses a cell relaxed with GGA-PBE and Cu Kα X-rays.
No peak broadening, texture or thermal motion is included.

Atomic structure:
Cell lengths 5.239, 5.239, 26.306 Å; angles 90.00, 90.00, 90.00 degrees
Fractional positions:
1 La 0.000 0.000 0.000
2 La 0.000 0.000 0.199
3 La 0.000 0.000 0.400
4 La 0.000 0.000 0.600
5 La 0.000 0.000 0.801
6 La 0.000 0.500 0.099
7 La 0.000 0.500 0.299
8 La 0.000 0.500 0.500
9 La 0.000 0.500 0.701
10 La 0.000 0.500 0.901
11 La 0.500 0.000 0.099
12 La 0.500 0.000 0.299
13 La 0.500 0.000 0.500
14 La 0.500 0.000 0.701
15 La 0.500 0.000 0.901
16 Tb 0.500 0.500 0.000
17 Nd 0.500 0.500 0.199
18 Nd 0.500 0.500 0.400
19 Nd 0.500 0.500 0.600
20 Nd 0.500 0.500 0.801

Top 10 peaks for 10 to 90 degrees two-theta, low angle first:
- 2θ = 29.5°, intensity 100
- 2θ = 34.1°, intensity 17
- 2θ = 34.2°, intensity 34
- 2θ = 49.1°, intensity 24
- 2θ = 49.2°, intensity 12
- 2θ = 58.2°, intensity 15
- 2θ = 58.4°, intensity 29
- 2θ = 61.2°, intensity 12
- 2θ = 79.6°, intensity 12
- 2θ = 82.3°, intensity 11



Diffraction record for La2Tb2Nd7. The X-ray diffraction stick pattern is calculated, not measured: it uses a cell relaxed with GGA-PBE and Cu Kα X-rays.
No peak broadening, texture or thermal motion is included.

Atomic structure:
Cell lengths 9.030, 9.037, 11.245 Å; angles 97.12, 97.04, 119.65 degrees
Fractional positions:
1 La 0.090 0.343 0.491
2 La 0.343 0.090 0.991
3 La 0.657 0.910 0.009
4 La 0.910 0.657 0.509
5 Tb 0.087 0.547 0.755
6 Tb 0.452 0.912 0.745
7 Tb 0.548 0.088 0.255
8 Tb 0.913 0.453 0.245
9 Nd 0.084 0.233 0.090
10 Nd 0.086 0.915 0.250
11 Nd 0.233 0.085 0.590
12 Nd 0.237 0.659 0.073
13 Nd 0.342 0.763 0.427
14 Nd 0.386 0.435 0.860
15 Nd 0.435 0.386 0.360
16 Nd 0.565 0.614 0.640
17 Nd 0.614 0.565 0.140
18 Nd 0.658 0.237 0.573
19 Nd 0.763 0.341 0.927
20 Nd 0.767 0.915 0.410
21 Nd 0.914 0.085 0.750
22 Nd 0.916 0.767 0.910

Top 10 peaks for 10 to 90 degrees two-theta, low angle first:
- 2θ = 27.1°, intensity 41
- 2θ = 28.1°, intensity 23
- 2θ = 29.4°, intensity 20
- 2θ = 29.7°, intensity 86
- 2θ = 30.1°, intensity 83
- 2θ = 30.4°, intensity 100
- 2θ = 31.3°, intensity 75
- 2θ = 31.4°, intensity 30
- 2θ = 32.1°, intensity 32
- 2θ = 32.3°, intensity 35



Diffraction record for LaTb7Nd3. The X-ray diffraction stick pattern is calculated, not measured: it uses a cell relaxed with GGA-PBE and Cu Kα X-rays.
No peak broadening, texture or thermal motion is included.

Atomic structure:
Cell lengths 7.039, 5.608, 10.101 Å; angles 90.00, 109.80, 90.00 degrees
Fractional positions:
1 La 0.000 0.000 0.000
2 Tb 0.000 0.000 0.500
3 Tb 0.144 0.500 0.788
4 Tb 0.323 0.500 0.139
5 Tb 0.419 0.000 0.330
6 Tb 0.581 0.000 0.670
7 Tb 0.677 0.500 0.861
8 Tb 0.856 0.500 0.212
9 Nd 0.282 0.500 0.499
10 Nd 0.500 0.000 0.000
11 Nd 0.718 0.500 0.501

Top 10 peaks for 10 to 90 degrees two-theta, low angle first:
- 2θ = 31.0°, intensity 39
- 2θ = 31.2°, intensity 42
- 2θ = 31.4°, intensity 78
- 2θ = 31.5°, intensity 100
- 2θ = 31.8°, intensity 23
- 2θ = 31.9°, intensity 81
- 2θ = 32.5°, intensity 81
- 2θ = 56.5°, intensity 23
- 2θ = 57.2°, intensity 32
- 2θ = 62.3°, intensity 32



Diffraction record for La4Tb4Nd5. The X-ray diffraction stick pattern is calculated, not measured: it uses a cell relaxed with GGA-PBE and Cu Kα X-rays.
No peak broadening, texture or thermal motion is included.

Atomic structure:
Cell lengths 5.193, 9.695, 9.703 Å; angles 85.97, 74.51, 74.53 degrees
Fractional positions:
1 La 0.077 0.306 0.040
2 La 0.383 0.540 0.195
3 La 0.617 0.460 0.805
4 La 0.923 0.694 0.960
5 Tb 0.154 0.615 0.577
6 Tb 0.231 0.923 0.115
7 Tb 0.769 0.077 0.885
8 Tb 0.846 0.385 0.423
9 Nd 0.000 0.000 0.500
10 Nd 0.310 0.231 0.650
11 Nd 0.459 0.850 0.731
12 Nd 0.541 0.150 0.269
13 Nd 0.690 0.769 0.350

Top 10 peaks for 10 to 90 degrees two-theta, low angle first:
- 2θ = 29.8°, intensity 100
- 2θ = 34.6°, intensity 51
- 2θ = 49.7°, intensity 36
- 2θ = 59.0°, intensity 29
- 2θ = 59.1°, intensity 14
- 2θ = 62.0°, intensity 12
- 2θ = 80.7°, intensity 10
- 2θ = 80.8°, intensity 7
- 2θ = 83.2°, intensity 7
- 2θ = 83.3°, intensity 7



Diffraction record for LaTbNd14. The X-ray diffraction stick pattern is calculated, not measured: it uses a cell relaxed with GGA-PBE and Cu Kα X-rays.
No peak broadening, texture or thermal motion is included.

Atomic structure:
Cell lengths 7.356, 7.356, 10.414 Å; angles 90.00, 90.00, 90.00 degrees
Fractional positions:
1 La 0.000 0.000 0.000
2 Tb 0.500 0.500 0.000
3 Nd 0.000 0.000 0.500
4 Nd 0.000 0.500 0.000
5 Nd 0.000 0.500 0.500
6 Nd 0.252 0.252 0.250
7 Nd 0.252 0.252 0.750
8 Nd 0.252 0.748 0.250
9 Nd 0.252 0.748 0.750
10 Nd 0.500 0.000 0.000
11 Nd 0.500 0.000 0.500
12 Nd 0.500 0.500 0.500
13 Nd 0.748 0.252 0.250
14 Nd 0.748 0.252 0.750
15 Nd 0.748 0.748 0.250
16 Nd 0.748 0.748 0.750

Top 8 peaks for 10 to 90 degrees two-theta, low angle first:
- 2θ = 29.7°, intensity 100
- 2θ = 34.5°, intensity 51
- 2θ = 49.5°, intensity 36
- 2θ = 58.9°, intensity 43
- 2θ = 61.8°, intensity 12
- 2θ = 72.7°, intensity 6
- 2θ = 80.5°, intensity 18
- 2θ = 83.0°, intensity 16